The following is a calculated powder diffraction line list of AcPmRh2. It was derived from a structure optimized by DFT (GGA-PBE), using CuKα.
Intensities are scaled so that the largest is 100.

Crystal structure
a = 5.834 Å, b = 5.842 Å, c = 11.846 Å
α = 90.00°, β = 104.55°, γ = 90.00°
Atoms (fractional coordinates):
Ac1 0.195 0.128 0.141
Ac2 0.195 0.872 0.641
Ac3 0.805 0.128 0.359
Ac4 0.805 0.872 0.859
Pm1 0.307 0.375 0.861
Pm2 0.307 0.625 0.361
Pm3 0.693 0.375 0.639
Pm4 0.693 0.625 0.139
Rh1 0.169 0.377 0.590
Rh2 0.169 0.623 0.090
Rh3 0.336 0.133 0.418
Rh4 0.336 0.867 0.918
Rh5 0.664 0.133 0.082
Rh6 0.664 0.867 0.582
Rh7 0.831 0.377 0.910
Rh8 0.831 0.623 0.410

Principal peaks in the range 2θ = 15–90°, by angle:
d (Å)	2theta	intensity	hkl
3.074	29.05	13	1 1 -3
2.866	31.20	36	0 0 4
2.829	31.63	100	2 0 -2
2.571	34.90	14	1 1 -4
2.562	35.03	15	1 1 3
2.322	38.78	41	0 2 3
2.313	38.94	14	2 0 2
2.064	43.86	44	2 2 -1
1.678	54.71	15	2 2 -5
1.672	54.91	14	2 2 3
1.459	63.77	15	4 0 -2
1.297	72.91	17	4 0 2